Starting from the GGA-PBE geometry in Alexandria, the powder X-ray diffraction pattern of CaAlIn2Pd4 was simulated for CuKα.

The 10 most intense peaks (2θ from 10° to 90°), most intense first:
2θ = 39.11°, d = 2.304 Å, I 1000
2θ = 37.51°, d = 2.398 Å, I 760
2θ = 55.30°, d = 1.661 Å, I 239
2θ = 69.80°, d = 1.347 Å, I 232
2θ = 22.22°, d = 4.000 Å, I 181
2θ = 45.43°, d = 1.996 Å, I 171
2θ = 70.85°, d = 1.330 Å, I 165
2θ = 34.49°, d = 2.600 Å, I 150
2θ = 47.49°, d = 1.914 Å, I 126
2θ = 23.50°, d = 3.786 Å, I 109

Crystal structure
```
CaAlIn2Pd4
1.0
2.304 1.330 8.000
-2.304 1.330 8.000
0.000 -2.660 8.000
Ca Al In Pd
1 1 2 4
direct
0.000 0.000 0.000 Ca
0.500 0.500 0.500 Al
0.249 0.249 0.249 In
0.751 0.751 0.751 In
0.133 0.133 0.133 Pd
0.397 0.397 0.397 Pd
0.603 0.603 0.603 Pd
0.867 0.867 0.867 Pd
```